Structure and theoretical XRD peak list of Rb2CdSnSe4 (a DFT-relaxed cell (GGA-PBE, Alexandria); Cu Kα (λ = 1.5418 Å)).

Structural model:
Cell: 7.9079 7.9079 9.1160 Å, 90.00 90.00 90.00°
Space group I-4 (No. 82)
Unique sites:
Rb: 0.0000 0.0000 0.0000 (multiplicity 2)
Rb: 0.0000 0.5000 0.2500 (multiplicity 2)
Cd: 0.0000 0.0000 0.5000 (multiplicity 2)
Sn: 0.0000 0.5000 0.7500 (multiplicity 2)
Se: 0.1622 0.2701 0.6084 (multiplicity 8)

Most intense lines, 2θ = 10–80°, low angle first:
2theta  I_rel  (hkl)
14.83  23  1 0 1
22.49  9  2 0 0
25.21  100  1 1 2
27.04  18  2 1 1
32.01  35  2 2 0
41.17  44  1 3 2
42.39  12  3 2 1
45.95  40  2 0 4
51.71  16  4 2 0
63.39  18  1 1 6
66.98  9  2 4 4
72.79  16  3 1 6

---

Structure and theoretical XRD peak list of Pr2Ga4CoPt3 (a DFT-relaxed cell (GGA-PBE, Alexandria); Cu Kα (λ = 1.5418 Å)).

Structural model:
Cell: 4.2452 4.2452 10.5688 Å, 90.00 90.00 90.00°
Space group P-4m2 (No. 115)
Unique sites:
Pr: 0.0000 0.5000 0.2453 (multiplicity 2)
Ga: 0.0000 0.0000 0.5000 (multiplicity 1)
Ga: 0.0000 0.5000 0.8768 (multiplicity 2)
Ga: 0.5000 0.5000 0.5000 (multiplicity 1)
Co: 0.5000 0.5000 0.0000 (multiplicity 1)
Pt: 0.0000 0.0000 0.0000 (multiplicity 1)
Pt: 0.0000 0.5000 0.6364 (multiplicity 2)

Most intense lines, 2θ = 10–80°, low angle first:
2theta  I_rel  (hkl)
22.57  15  1 0 1
26.94  27  1 0 2
29.76  23  1 1 0
33.04  76  1 0 3
34.36  100  1 1 2
42.59  75  2 0 0
45.75  33  1 1 4
48.09  39  1 0 5
54.94  36  2 1 3
61.81  25  2 2 0
66.16  30  2 1 5
72.67  22  3 1 2

---

Structure and theoretical XRD peak list of Ta2Pd2Ru (a DFT-relaxed cell (GGA-PBE, Alexandria); Cu Kα (λ = 1.5418 Å)).

Structural model:
Cell: 7.1965 7.1965 3.2027 Å, 90.00 90.00 90.00°
Space group P4/mbm (No. 127)
Unique sites:
Ta: 0.1788 0.3212 0.0000 (multiplicity 4)
Pd: 0.1269 0.6269 0.5000 (multiplicity 4)
Ru: 0.0000 0.0000 0.5000 (multiplicity 2)

Most intense lines, 2θ = 10–80°, low angle first:
2theta  I_rel  (hkl)
35.28  12  2 2 0
37.60  37  2 0 1
39.60  40  3 1 0
39.70  100  2 1 1
45.44  9  3 2 0
52.42  13  4 1 0
54.08  9  3 3 0
57.56  12  0 0 2
60.40  19  4 1 1
72.12  14  3 1 2
73.30  10  5 1 1
77.36  13  5 2 1